(1)
Starting from a GGA-PBE-relaxed structure, the powder diffractogram of Fe2Ir6Rh was computed for Cu Kα (λ = 1.5418 Å).
Kinematic intensities with the Lorentz-polarization factor, no thermal factor.

Top 12 peaks for 2θ = 10–80°, in order of rising 2θ:
(1 1 0), 2θ 22.36, I = 20
(1 0 1), 2θ 23.68, I = 16
(0 1 -1), 2θ 25.81, I = 18
(1 2 0), 2θ 38.64, I = 64
(0 0 3), 2θ 41.16, I = 79
(-1 1 1), 2θ 42.57, I = 51
(2 1 2), 2θ 42.72, I = 100
(1 2 2), 2θ 44.86, I = 50
(2 1 -1), 2θ 44.99, I = 93
(3 0 1), 2θ 69.33, I = 34
(3 3 1), 2θ 69.46, I = 17
(2 1 -4), 2θ 79.37, I = 19

Structural model:
a b c (Å): 4.6887 4.6917 6.7634
angles (deg): 83.13 76.59 60.11
Fractional positions:
Fe 0.0517 0.3358 0.3381
Fe 0.9483 0.6642 0.6619
Ir 0.1642 0.6647 0.0031
Ir 0.2766 0.0011 0.6631
Ir 0.3852 0.6644 0.3365
Ir 0.6148 0.3356 0.6635
Ir 0.7234 0.9989 0.3369
Ir 0.8358 0.3353 0.9969
Rh 0.5000 0.0000 0.0000

=====

(2)
Starting from a GGA-PBE-relaxed structure, the powder diffractogram of In4Hg6Pb was computed for Cu Kα (λ = 1.5418 Å).
Kinematic intensities with the Lorentz-polarization factor, no thermal factor.

Top 12 peaks for 2θ = 10–80°, in order of rising 2θ:
(2 -1 0), 2θ 31.29, I = 100
(0 2 -1), 2θ 31.49, I = 98
(1 1 2), 2θ 33.32, I = 84
(1 0 -3), 2θ 34.86, I = 75
(1 -1 3), 2θ 35.96, I = 69
(-1 2 2), 2θ 36.06, I = 69
(2 1 -1), 2θ 41.79, I = 46
(2 -3 1), 2θ 48.01, I = 31
(3 0 2), 2θ 55.11, I = 20
(1 3 1), 2θ 55.46, I = 39
(0 1 -6), 2θ 66.09, I = 23
(3 2 1), 2θ 69.99, I = 29

Structural model:
a b c (Å): 5.7707 6.3137 8.6843
angles (deg): 91.14 90.52 109.13
Fractional positions:
In 0.0000 0.0000 0.0000
In 0.0882 0.1959 0.3774
In 0.4550 0.9073 0.8148
In 0.8124 0.6476 0.2840
Hg 0.1799 0.3675 0.7370
Hg 0.2624 0.5322 0.0968
Hg 0.3539 0.7269 0.4648
Hg 0.6304 0.2769 0.5558
Hg 0.7294 0.4647 0.9132
Hg 0.9066 0.8226 0.6407
Pb 0.5375 0.0836 0.1839